Diffraction record for La3H3Pb. The PXRD pattern is calculated, not measured: it uses the GGA-PBE geometry in Alexandria and CuKα.
Peak positions follow from Bragg's law for the DFT cell and can differ from measured ones.

Peak list (8 most intense, 2θ = 5–70°, by angle)
2θ (°)	I_rel
26.7	42
29.9	79
32.8	100
49.1	20
51.1	58
54.9	19
62.1	16
63.8	18

Cell and atoms:
```
data_La3H3Pb
_chemical_formula_sum 'La6 H6 Pb2'
_cell_length_a 6.686
_cell_length_b 6.686
_cell_length_c 6.686
_cell_angle_alpha 90.00
_cell_angle_beta 90.00
_cell_angle_gamma 90.00
_symmetry_space_group_name_H-M 'P m -3 n'
_symmetry_Int_Tables_number 223
_symmetry_space_group_name_Hall '-P 4n 2 3'
loop_
_atom_site_label
_atom_site_type_symbol
_atom_site_fract_x
_atom_site_fract_y
_atom_site_fract_z
_atom_site_occupancy
La1 La 0.000 0.250 0.500 1
H1 H 0.000 0.500 0.250 1
Pb1 Pb 0.000 0.000 0.000 1
```



Diffraction record for La2HPdPb. The PXRD pattern is calculated, not measured: it uses the GGA-PBE geometry in Alexandria and CuKα.
Peak positions follow from Bragg's law for the DFT cell and can differ from measured ones.

Peak list (8 most intense, 2θ = 5–70°, by angle)
2θ (°)	I_rel
17.1	5
32.2	100
34.5	42
42.5	12
49.6	15
55.8	21
60.4	33
67.3	12

Cell and atoms:
```
data_La2HPdPb
_chemical_formula_sum 'La2 H1 Pd1 Pb1'
_cell_length_a 5.197
_cell_length_b 5.197
_cell_length_c 4.258
_cell_angle_alpha 90.00
_cell_angle_beta 90.00
_cell_angle_gamma 90.00
_symmetry_space_group_name_H-M 'P 4/m m m'
_symmetry_Int_Tables_number 123
_symmetry_space_group_name_Hall '-P 4 2'
loop_
_atom_site_label
_atom_site_type_symbol
_atom_site_fract_x
_atom_site_fract_y
_atom_site_fract_z
_atom_site_occupancy
La1 La 0.000 0.500 0.000 1
H1 H 0.000 0.000 0.000 1
Pd1 Pd 0.000 0.000 0.500 1
Pb1 Pb 0.500 0.500 0.500 1
```



Diffraction record for La2Pr2HPb2. The PXRD pattern is calculated, not measured: it uses the GGA-PBE geometry in Alexandria and CuKα.
Peak positions follow from Bragg's law for the DFT cell and can differ from measured ones.

Peak list (8 most intense, 2θ = 5–70°, by angle)
2θ (°)	I_rel
26.2	26
28.0	73
29.7	29
31.0	33
33.0	100
37.4	62
48.5	33
64.7	30

Cell and atoms:
```
data_La2Pr2HPb2
_chemical_formula_sum 'La4 Pr4 H2 Pb4'
_cell_length_a 4.812
_cell_length_b 4.812
_cell_length_c 18.027
_cell_angle_alpha 90.00
_cell_angle_beta 90.00
_cell_angle_gamma 90.00
_symmetry_space_group_name_H-M 'I 4/m m m'
_symmetry_Int_Tables_number 139
_symmetry_space_group_name_Hall '-I 4 2'
loop_
_atom_site_label
_atom_site_type_symbol
_atom_site_fract_x
_atom_site_fract_y
_atom_site_fract_z
_atom_site_occupancy
La1 La 0.000 0.000 0.178 1
Pr1 Pr 0.000 0.500 0.000 1
H1 H 0.000 0.000 0.000 1
Pb1 Pb 0.000 0.000 0.364 1
```



Diffraction record for LaH6RuPb. The PXRD pattern is calculated, not measured: it uses the GGA-PBE geometry in Alexandria and CuKα.
Peak positions follow from Bragg's law for the DFT cell and can differ from measured ones.

Peak list (8 most intense, 2θ = 5–70°, by angle)
2θ (°)	I_rel
28.2	100
28.3	64
35.8	88
44.4	19
44.6	19
46.1	18
46.2	27
59.6	25

Cell and atoms:
```
data_LaH6RuPb
_chemical_formula_sum 'La1 H6 Ru1 Pb1'
_cell_length_a 4.609
_cell_length_b 5.020
_cell_length_c 5.022
_cell_angle_alpha 60.05
_cell_angle_beta 89.66
_cell_angle_gamma 89.72
_symmetry_space_group_name_H-M 'P 1'
_symmetry_Int_Tables_number 1
loop_
_symmetry_equiv_pos_as_xyz
'x,y,z'
loop_
_atom_site_label
_atom_site_type_symbol
_atom_site_fract_x
_atom_site_fract_y
_atom_site_fract_z
_atom_site_occupancy
La1 La 0.000 0.000 0.000 1
H1 H 0.031 0.520 0.520 1
H2 H 0.034 0.962 0.519 1
H3 H 0.035 0.520 0.960 1
H4 H 0.485 0.318 0.838 1
H5 H 0.486 0.839 0.317 1
H6 H 0.488 0.839 0.837 1
Ru1 Ru 0.276 0.666 0.665 1
Pb1 Pb 0.508 0.333 0.334 1
```



Diffraction record for La2Sm2HPb2. The PXRD pattern is calculated, not measured: it uses the GGA-PBE geometry in Alexandria and CuKα.
Peak positions follow from Bragg's law for the DFT cell and can differ from measured ones.

Peak list (8 most intense, 2θ = 5–70°, by angle)
2θ (°)	I_rel
26.5	23
28.4	68
30.0	25
31.3	39
33.3	100
37.8	60
49.0	27
65.5	29

Cell and atoms:
```
data_La2Sm2HPb2
_chemical_formula_sum 'La4 Sm4 H2 Pb4'
_cell_length_a 4.755
_cell_length_b 4.755
_cell_length_c 17.892
_cell_angle_alpha 90.00
_cell_angle_beta 90.00
_cell_angle_gamma 90.00
_symmetry_space_group_name_H-M 'I 4/m m m'
_symmetry_Int_Tables_number 139
_symmetry_space_group_name_Hall '-I 4 2'
loop_
_atom_site_label
_atom_site_type_symbol
_atom_site_fract_x
_atom_site_fract_y
_atom_site_fract_z
_atom_site_occupancy
La1 La 0.000 0.000 0.179 1
Sm1 Sm 0.000 0.500 0.000 1
H1 H 0.000 0.000 0.000 1
Pb1 Pb 0.000 0.000 0.368 1
```



Diffraction record for LaH4Pd3. The PXRD pattern is calculated, not measured: it uses the GGA-PBE geometry in Alexandria and CuKα.
Peak positions follow from Bragg's law for the DFT cell and can differ from measured ones.

Peak list (8 most intense, 2θ = 5–70°, by angle)
2θ (°)	I_rel
22.3	3
31.7	41
35.6	100
39.1	98
56.6	7
59.1	22
61.5	51
66.3	18

Cell and atoms:
```
data_LaH4Pd3
_chemical_formula_sum 'La2 H8 Pd6'
_cell_length_a 5.637
_cell_length_b 5.637
_cell_length_c 5.637
_cell_angle_alpha 90.00
_cell_angle_beta 90.00
_cell_angle_gamma 90.00
_symmetry_space_group_name_H-M 'P m -3 n'
_symmetry_Int_Tables_number 223
_symmetry_space_group_name_Hall '-P 4n 2 3'
loop_
_atom_site_label
_atom_site_type_symbol
_atom_site_fract_x
_atom_site_fract_y
_atom_site_fract_z
_atom_site_occupancy
La1 La 0.000 0.000 0.000 1
H1 H 0.250 0.250 0.250 1
Pd1 Pd 0.000 0.250 0.500 1
```



Diffraction record for LaH7Pd5. The PXRD pattern is calculated, not measured: it uses the GGA-PBE geometry in Alexandria and CuKα.
Peak positions follow from Bragg's law for the DFT cell and can differ from measured ones.

Peak list (8 most intense, 2θ = 5–70°, by angle)
2θ (°)	I_rel
31.2	58
36.3	47
36.5	100
36.6	82
36.9	69
37.0	67
37.1	39
38.2	41

Cell and atoms:
```
data_LaH7Pd5
_chemical_formula_sum 'La1 H7 Pd5'
_cell_length_a 5.671
_cell_length_b 5.713
_cell_length_c 5.742
_cell_angle_alpha 61.02
_cell_angle_beta 60.88
_cell_angle_gamma 60.59
_symmetry_space_group_name_H-M 'P 1'
_symmetry_Int_Tables_number 1
loop_
_symmetry_equiv_pos_as_xyz
'x,y,z'
loop_
_atom_site_label
_atom_site_type_symbol
_atom_site_fract_x
_atom_site_fract_y
_atom_site_fract_z
_atom_site_occupancy
La1 La 0.000 0.000 0.000 1
H1 H 0.235 0.511 0.905 1
H2 H 0.291 0.270 0.535 1
H3 H 0.392 0.823 0.425 1
H4 H 0.470 0.013 0.990 1
H5 H 0.541 0.430 0.064 1
H6 H 0.804 0.803 0.529 1
H7 H 0.889 0.304 0.307 1
Pd1 Pd 0.112 0.591 0.628 1
Pd2 Pd 0.274 0.233 0.244 1
Pd3 Pd 0.564 0.605 0.708 1
Pd4 Pd 0.633 0.650 0.153 1
Pd5 Pd 0.645 0.125 0.609 1
```



Diffraction record for LaH2Pd. The PXRD pattern is calculated, not measured: it uses the GGA-PBE geometry in Alexandria and CuKα.
Peak positions follow from Bragg's law for the DFT cell and can differ from measured ones.

Peak list (8 most intense, 2θ = 5–70°, by angle)
2θ (°)	I_rel
27.5	68
28.4	47
28.7	98
30.6	100
33.6	39
35.8	44
41.6	44
42.4	66

Cell and atoms:
```
data_LaH2Pd
_chemical_formula_sum 'La4 H8 Pd4'
_cell_length_a 6.351
_cell_length_b 5.849
_cell_length_c 6.616
_cell_angle_alpha 90.00
_cell_angle_beta 101.38
_cell_angle_gamma 90.00
_symmetry_space_group_name_H-M 'P 1 21/c 1'
_symmetry_Int_Tables_number 14
loop_
_symmetry_equiv_pos_as_xyz
'x,y,z'
'-x,-y,-z'
'-x,y+1/2,-z+1/2'
'x,-y+1/2,z+1/2'
loop_
_atom_site_label
_atom_site_type_symbol
_atom_site_fract_x
_atom_site_fract_y
_atom_site_fract_z
_atom_site_occupancy
La1 La 0.232 0.015 0.291 1
H1 H 0.111 0.655 0.442 1
H2 H 0.400 0.143 0.648 1
Pd1 Pd 0.302 0.513 0.333 1
```



Diffraction record for LaH3Pd2. The PXRD pattern is calculated, not measured: it uses the GGA-PBE geometry in Alexandria and CuKα.
Peak positions follow from Bragg's law for the DFT cell and can differ from measured ones.

Peak list (8 most intense, 2θ = 5–70°, by angle)
2θ (°)	I_rel
25.5	95
33.1	100
35.3	46
37.9	74
38.2	62
38.8	66
40.7	58
41.1	55

Cell and atoms:
```
data_LaH3Pd2
_chemical_formula_sum 'La4 H12 Pd8'
_cell_length_a 7.425
_cell_length_b 8.143
_cell_length_c 5.344
_cell_angle_alpha 90.00
_cell_angle_beta 102.24
_cell_angle_gamma 90.00
_symmetry_space_group_name_H-M 'C 1 c 1'
_symmetry_Int_Tables_number 9
loop_
_symmetry_equiv_pos_as_xyz
'x,y,z'
'x,-y,z+1/2'
'x+1/2,y+1/2,z'
'x+1/2,-y+1/2,z+1/2'
loop_
_atom_site_label
_atom_site_type_symbol
_atom_site_fract_x
_atom_site_fract_y
_atom_site_fract_z
_atom_site_occupancy
La1 La 0.000 0.198 0.000 1
H1 H 0.059 0.373 0.412 1
H2 H 0.186 0.076 0.516 1
H3 H 0.322 0.401 0.020 1
Pd1 Pd 0.190 0.458 0.711 1
Pd2 Pd 0.322 0.039 0.837 1
```



Diffraction record for LaH6Pd2Pt. The PXRD pattern is calculated, not measured: it uses the GGA-PBE geometry in Alexandria and CuKα.
Peak positions follow from Bragg's law for the DFT cell and can differ from measured ones.

Peak list (8 most intense, 2θ = 5–70°, by angle)
2θ (°)	I_rel
25.3	40
32.6	80
32.8	84
33.5	88
33.9	87
35.2	49
36.7	100
40.9	53

Cell and atoms:
```
data_LaH6Pd2Pt
_chemical_formula_sum 'La1 H6 Pd2 Pt1'
_cell_length_a 4.900
_cell_length_b 5.107
_cell_length_c 5.359
_cell_angle_alpha 116.06
_cell_angle_beta 116.45
_cell_angle_gamma 90.27
_symmetry_space_group_name_H-M 'P 1'
_symmetry_Int_Tables_number 1
loop_
_symmetry_equiv_pos_as_xyz
'x,y,z'
loop_
_atom_site_label
_atom_site_type_symbol
_atom_site_fract_x
_atom_site_fract_y
_atom_site_fract_z
_atom_site_occupancy
La1 La 0.000 0.000 0.000 1
H1 H 0.177 0.443 0.844 1
H2 H 0.451 0.787 0.442 1
H3 H 0.559 0.915 0.110 1
H4 H 0.562 0.258 0.127 1
H5 H 0.726 0.440 0.882 1
H6 H 0.991 0.794 0.452 1
Pd1 Pd 0.282 0.606 0.570 1
Pd2 Pd 0.757 0.280 0.527 1
Pt1 Pt 0.586 0.608 0.162 1
```



Diffraction record for La2H3Pd12Pt. The PXRD pattern is calculated, not measured: it uses the GGA-PBE geometry in Alexandria and CuKα.
Peak positions follow from Bragg's law for the DFT cell and can differ from measured ones.

Peak list (8 most intense, 2θ = 5–70°, by angle)
2θ (°)	I_rel
28.5	17
34.5	21
37.3	36
37.7	100
39.0	78
45.6	29
50.0	25
58.4	31

Cell and atoms:
```
data_La2H3Pd12Pt
_chemical_formula_sum 'La6 H9 Pd36 Pt3'
_cell_length_a 7.2979
_cell_length_b 7.2979
_cell_length_c 18.2385
_cell_angle_alpha 90.00
_cell_angle_beta 90.00
_cell_angle_gamma 120.00
_symmetry_space_group_name_H-M 'R -3 m'
_symmetry_Int_Tables_number 166
_symmetry_space_group_name_Hall '-R 3 2"'
loop_
_atom_site_label
_atom_site_type_symbol
_atom_site_fract_x
_atom_site_fract_y
_atom_site_fract_z
_atom_site_occupancy
La1 La 0.0000 0.0000 0.0975 1
H1 H 0.0000 0.5000 0.0000 1
Pd1 Pd 0.0675 0.5338 0.8853 1
Pd2 Pd 0.0808 0.5404 0.3131 1
Pt1 Pt 0.0000 0.0000 0.5000 1
```



Diffraction record for La4PmH10. The PXRD pattern is calculated, not measured: it uses the GGA-PBE geometry in Alexandria and CuKα.
Peak positions follow from Bragg's law for the DFT cell and can differ from measured ones.

Peak list (6 most intense, 2θ = 5–70°, by angle)
2θ (°)	I_rel
27.7	100
32.0	49
45.9	39
54.5	45
57.1	13
67.0	6

Cell and atoms:
```
data_La4PmH10
_chemical_formula_sum 'La12 Pm3 H30'
_cell_length_a 3.9491
_cell_length_b 3.9491
_cell_length_c 48.4435
_cell_angle_alpha 90.00
_cell_angle_beta 90.00
_cell_angle_gamma 120.00
_symmetry_space_group_name_H-M 'R -3 m'
_symmetry_Int_Tables_number 166
_symmetry_space_group_name_Hall '-R 3 2"'
loop_
_atom_site_label
_atom_site_type_symbol
_atom_site_fract_x
_atom_site_fract_y
_atom_site_fract_z
_atom_site_occupancy
La1 La 0.0000 0.0000 0.1010 1
La2 La 0.0000 0.0000 0.2996 1
Pm1 Pm 0.0000 0.0000 0.5000 1
H1 H 0.0000 0.0000 0.0508 1
H2 H 0.0000 0.0000 0.1516 1
H3 H 0.0000 0.0000 0.2493 1
H4 H 0.0000 0.0000 0.3499 1
H5 H 0.0000 0.0000 0.4517 1
```